K2ZrH12N6: calculated X-ray powder pattern (copper Kα), based on a GGA-PBE-relaxed structure.

Top 10 peaks for 10 to 90 degrees two-theta, by angle:
index	two_theta	I_rel
0 0 6	15.97	15
0 1 2	16.35	100
0 1 8	26.46	53
1 1 0	26.94	53
1 0 10	31.05	34
2 0 2	31.68	19
2 0 8	38.12	59
1 2 8	47.30	23
2 1 10	50.24	19
1 1 18	57.02	16

Crystal structure
a = 6.6189 Å, b = 6.6189 Å, c = 33.3062 Å
α = 90.00°, β = 90.00°, γ = 120.00°
Space group R-3c (No. 167, hexagonal axes)
Inequivalent atoms, fractional coordinates:
1 K 0.0000 0.0000 0.1339
2 Zr 0.0000 0.0000 0.2500
3 H 0.0149 0.2183 0.0516
4 H 0.0222 0.4567 0.6448
5 N 0.0227 0.4658 0.3774